1.
Simulated XRD peak list of Li9Mn7O16 for copper Kα, from a structure optimized by DFT (PBE+U).
Kinematic intensities with the Lorentz-polarization factor, no thermal factor.

Principal peaks in the range 2θ = 10–80°, in order of rising 2θ:
two_theta, I (rel.), h k l
18.3, 1000, 2 0 0
33.8, 200, 0 0 4
36.2, 244, 1 1 -2
40.7, 352, 2 0 4
44.2, 557, 3 1 -2
61.3, 165, 1 1 -6

a = 9.7580 Å, b = 2.8771 Å, c = 10.6934 Å
α = 90.00°, β = 96.95°, γ = 90.00°
Space group P2/m (No. 10)
Asymmetric unit:
Li 0.0000 0.0000 0.0000 x1
Li 0.2428 0.0000 0.8769 x2
Li 0.2444 0.5000 0.1207 x2
Li 0.2473 0.0000 0.3713 x2
Li 0.2530 0.5000 0.6293 x2
Mn 0.0000 0.0000 0.5000 x1
Mn 0.0068 0.5000 0.7634 x2
Mn 0.4980 0.0000 0.2497 x2
Mn 0.5000 0.5000 0.0000 x1
Mn 0.5000 0.5000 0.5000 x1
O 0.1072 0.5000 0.4325 x2
O 0.1118 0.5000 0.9157 x2
O 0.1128 0.0000 0.1951 x2
O 0.1134 0.0000 0.6947 x2
O 0.3815 0.0000 0.0520 x2
O 0.3817 0.0000 0.5519 x2
O 0.3816 0.5000 0.3036 x2
O 0.3858 0.5000 0.8019 x2

=====

2.
Simulated XRD peak list of Mg14FeSnO16 for copper Kα, from a structure optimized by DFT (PBE+U).
Kinematic intensities with the Lorentz-polarization factor, no thermal factor.

Principal peaks in the range 2θ = 10–80°, in order of rising 2θ:
two_theta, I (rel.), h k l
10.2, 658, 0 0 1
35.7, 734, 1 2 2
41.3, 1000, 2 0 0
41.5, 964, 0 0 4
41.6, 957, 0 4 0
60.0, 570, 2 0 4

a = 4.3735 Å, b = 8.6746 Å, c = 8.7046 Å
α = 90.00°, β = 90.00°, γ = 90.00°
Space group Pmmm (No. 47)
Asymmetric unit:
Mg 0.0000 0.0000 0.0000 x1
Mg 0.0000 0.2448 0.2438 x4
Mg 0.0000 0.5000 0.0000 x1
Mg 0.5000 0.0000 0.2491 x2
Mg 0.5000 0.2401 0.5000 x2
Mg 0.5000 0.2479 0.0000 x2
Mg 0.5000 0.5000 0.2406 x2
Fe 0.0000 0.0000 0.5000 x1
Sn 0.0000 0.5000 0.5000 x1
O 0.0000 0.0000 0.2393 x2
O 0.0000 0.2300 0.5000 x2
O 0.0000 0.2475 0.0000 x2
O 0.0000 0.5000 0.2286 x2
O 0.5000 0.0000 0.0000 x1
O 0.5000 0.0000 0.5000 x1
O 0.5000 0.2496 0.2508 x4
O 0.5000 0.5000 0.0000 x1
O 0.5000 0.5000 0.5000 x1